[1]
Structure and theoretical XRD peak list of Nd5Sm8Cd (DFT lattice parameters and positions (GGA-PBE); Cu Ka).

Most intense lines, 10 to 90 degrees two-theta, low angle first:
d 3.323, 26.83 deg, I = 78; d 3.271, 27.27 deg, I = 51; d 2.819, 31.74 deg, I = 100; d 2.801, 31.95 deg, I = 98; d 2.713, 33.02 deg, I = 86; d 2.657, 33.73 deg, I = 40

Structural model:
```
data_Nd5Sm8Cd
_symmetry_space_group_name_H-M 'P 1'
_symmetry_Int_Tables_number 1
_symmetry_space_group_name_Hall 'P 1'
_cell_length_a 8.6862
_cell_length_b 8.6862
_cell_length_c 10.6502
_cell_angle_alpha 127.80
_cell_angle_beta 127.80
_cell_angle_gamma 57.93
loop_
_atom_site_label
_atom_site_type_symbol
_atom_site_fract_x
_atom_site_fract_y
_atom_site_fract_z
_atom_site_occupancy
Nd1 Nd 0.0000 0.0000 0.0000 1
Nd2 Nd 0.3680 0.2563 0.8119 1
Nd3 Nd 0.3793 0.6202 0.2030 1
Nd4 Nd 0.3798 0.6207 0.7970 1
Nd5 Nd 0.7437 0.6320 0.1881 1
Sm1 Sm 0.0265 0.9741 0.3399 1
Sm2 Sm 0.0259 0.9735 0.6601 1
Sm3 Sm 0.2128 0.4678 0.3403 1
Sm4 Sm 0.4762 0.0723 0.4632 1
Sm5 Sm 0.4773 0.0727 0.0854 1
Sm6 Sm 0.5322 0.7872 0.6597 1
Sm7 Sm 0.9273 0.5227 0.9146 1
Sm8 Sm 0.9277 0.5238 0.5368 1
Cd1 Cd 0.6947 0.3053 0.5000 1
```

[2]
Structure and theoretical XRD peak list of Nd2Sm3Cd3 (DFT lattice parameters and positions (GGA-PBE); Cu Ka).

Most intense lines, 10 to 90 degrees two-theta, low angle first:
d 2.827, 31.65 deg, I = 22; d 2.748, 32.58 deg, I = 100; d 2.737, 32.72 deg, I = 26; d 1.966, 46.16 deg, I = 16; d 1.617, 56.96 deg, I = 12; d 1.582, 58.32 deg, I = 20

Structural model:
```
data_Nd2Sm3Cd3
_symmetry_space_group_name_H-M 'P 1'
_symmetry_Int_Tables_number 1
_symmetry_space_group_name_Hall 'P 1'
_cell_length_a 3.8415
_cell_length_b 5.4735
_cell_length_c 22.6191
_cell_angle_alpha 90.00
_cell_angle_beta 90.00
_cell_angle_gamma 90.00
loop_
_atom_site_label
_atom_site_type_symbol
_atom_site_fract_x
_atom_site_fract_y
_atom_site_fract_z
_atom_site_occupancy
Nd1 Nd 0.0000 0.0000 0.2332 1
Nd2 Nd 0.0000 0.0000 0.7668 1
Nd3 Nd 0.5000 0.5000 0.2668 1
Nd4 Nd 0.5000 0.5000 0.7332 1
Sm1 Sm 0.0000 0.0000 0.0000 1
Sm2 Sm 0.0000 0.5000 0.1208 1
Sm3 Sm 0.0000 0.5000 0.8792 1
Sm4 Sm 0.5000 0.0000 0.3792 1
Sm5 Sm 0.5000 0.0000 0.6208 1
Sm6 Sm 0.5000 0.5000 0.5000 1
Cd1 Cd 0.0000 0.0000 0.5000 1
Cd2 Cd 0.0000 0.5000 0.3842 1
Cd3 Cd 0.0000 0.5000 0.6158 1
Cd4 Cd 0.5000 0.0000 0.1158 1
Cd5 Cd 0.5000 0.0000 0.8842 1
Cd6 Cd 0.5000 0.5000 0.0000 1
```

[3]
Structure and theoretical XRD peak list of NdSmCd5 (DFT lattice parameters and positions (GGA-PBE); Cu Ka).

Most intense lines, 10 to 90 degrees two-theta, low angle first:
d 2.611, 34.34 deg, I = 100; d 2.597, 34.54 deg, I = 99; d 2.499, 35.93 deg, I = 88; d 1.525, 60.71 deg, I = 37; d 1.466, 63.45 deg, I = 32; d 1.458, 63.82 deg, I = 32

Structural model:
```
data_NdSmCd5
_symmetry_space_group_name_H-M 'P 1'
_symmetry_Int_Tables_number 1
_symmetry_space_group_name_Hall 'P 1'
_cell_length_a 7.0327
_cell_length_b 7.7029
_cell_length_c 7.1054
_cell_angle_alpha 90.00
_cell_angle_beta 90.00
_cell_angle_gamma 90.00
loop_
_atom_site_label
_atom_site_type_symbol
_atom_site_fract_x
_atom_site_fract_y
_atom_site_fract_z
_atom_site_occupancy
Nd1 Nd 0.0000 0.0000 0.0000 1
Nd2 Nd 0.5000 0.5000 0.0000 1
Sm1 Sm 0.0000 0.5000 0.5000 1
Sm2 Sm 0.5000 0.0000 0.5000 1
Cd1 Cd 0.0000 0.0000 0.5000 1
Cd2 Cd 0.2500 0.2500 0.2410 1
Cd3 Cd 0.2500 0.2500 0.7590 1
Cd4 Cd 0.2500 0.7500 0.2410 1
Cd5 Cd 0.2500 0.7500 0.7590 1
Cd6 Cd 0.5000 0.5000 0.5000 1
Cd7 Cd 0.7500 0.2500 0.2410 1
Cd8 Cd 0.7500 0.2500 0.7590 1
Cd9 Cd 0.7500 0.7500 0.2410 1
Cd10 Cd 0.7500 0.7500 0.7590 1
```